Entry 1:
This entry pairs a crystal structure of Dy6Hg5Rh with its simulated powder X-ray diffraction pattern. Radiation: copper Kα. Structure: a structure optimized by DFT (PBE).

Structural model:
Cell lengths 5.189, 15.531, 7.354 Å; angles 90.00, 90.00, 90.00 degrees
Space group Cmmm (No. 65)
Unique sites:
Dy 0.000 0.000 0.233 [4 per cell]
Dy 0.000 0.342 0.242 [8 per cell]
Hg 0.000 0.170 0.500 [4 per cell]
Hg 0.000 0.176 0.000 [4 per cell]
Hg 0.000 0.500 0.500 [2 per cell]
Rh 0.000 0.500 0.000 [2 per cell]

The 12 most intense peaks (2θ from 10° to 90°), by angle:
| 2theta | I (rel.) | (hkl) |
| --- | --- | --- |
| 33.6 | 14 | 1 5 0 |
| 34.6 | 1000 | 2 0 0 |
| 49.6 | 60 | 0 0 4 |
| 49.8 | 116 | 2 6 0 |
| 61.9 | 246 | 3 3 2 |
| 62.0 | 110 | 1 9 2 |
| 65.2 | 10 | 2 8 2 |
| 72.9 | 92 | 4 0 0 |
| 73.1 | 15 | 0 12 0 |
| 83.1 | 52 | 1 3 6 |
| 83.3 | 76 | 4 6 0 |
| 83.5 | 22 | 2 12 0 |

Entry 2:
This entry pairs a crystal structure of Dy8Hg2Rh3 with its simulated powder X-ray diffraction pattern. Radiation: copper Kα. Structure: a structure optimized by DFT (PBE).

Structural model:
Cell lengths 8.629, 4.936, 8.643 Å; angles 90.00, 109.94, 90.00 degrees
Space group P2/m (No. 10)
Unique sites:
Dy 0.116 0.000 0.384 [2 per cell]
Dy 0.137 0.500 0.870 [2 per cell]
Dy 0.369 0.500 0.637 [2 per cell]
Dy 0.383 0.000 0.117 [2 per cell]
Hg 0.245 0.500 0.256 [2 per cell]
Rh 0.249 0.000 0.749 [2 per cell]
Rh 0.500 0.500 0.000 [1 per cell]

The 12 most intense peaks (2θ from 10° to 90°), by angle:
| 2theta | I (rel.) | (hkl) |
| --- | --- | --- |
| 21.9 | 233 | 2 0 0 |
| 25.5 | 101 | 1 1 1 |
| 36.1 | 1000 | 3 1 -1 |
| 36.2 | 256 | 2 0 2 |
| 36.4 | 253 | 0 2 0 |
| 51.7 | 81 | 4 0 -4 |
| 52.3 | 180 | 2 2 2 |
| 64.9 | 123 | 4 2 -4 |
| 65.1 | 179 | 1 1 5 |
| 65.3 | 178 | 3 3 -1 |
| 87.3 | 63 | 5 1 -7 |
| 88.2 | 124 | 4 2 4 |

Entry 3:
This entry pairs a crystal structure of Dy5Hg2Rh2 with its simulated powder X-ray diffraction pattern. Radiation: copper Kα. Structure: a structure optimized by DFT (PBE).

Structural model:
Cell lengths 15.817, 7.460, 7.654 Å; angles 90.00, 90.00, 90.00 degrees
Space group Cmce (No. 64)
Unique sites:
Dy 0.000 0.000 0.000 [4 per cell]
Dy 0.123 0.170 0.329 [16 per cell]
Hg 0.214 0.000 0.000 [8 per cell]
Rh 0.000 0.132 0.635 [8 per cell]

The 12 most intense peaks (2θ from 10° to 90°), by angle:
| 2theta | I (rel.) | (hkl) |
| --- | --- | --- |
| 31.3 | 767 | 3 1 2 |
| 32.6 | 821 | 4 0 2 |
| 32.9 | 864 | 5 1 1 |
| 33.0 | 800 | 4 2 0 |
| 33.6 | 801 | 0 2 2 |
| 35.1 | 1000 | 4 2 1 |
| 37.7 | 713 | 1 1 3 |
| 38.5 | 656 | 1 3 1 |
| 38.9 | 495 | 5 1 2 |
| 59.6 | 417 | 5 3 3 |
| 65.7 | 318 | 9 1 3 |
| 66.3 | 309 | 9 3 1 |

Entry 4:
This entry pairs a crystal structure of SmDyHgRu with its simulated powder X-ray diffraction pattern. Radiation: copper Kα. Structure: a structure optimized by DFT (PBE).

Structural model:
Cell lengths 3.508, 3.508, 7.623 Å; angles 90.00, 90.00, 90.00 degrees
Space group P4mm (No. 99)
Unique sites:
Sm 0.000 0.000 0.000 [1 per cell]
Dy 0.000 0.000 0.560 [1 per cell]
Hg 0.500 0.500 0.290 [1 per cell]
Ru 0.500 0.500 0.773 [1 per cell]

The 12 most intense peaks (2θ from 10° to 90°), by angle:
| 2theta | I (rel.) | (hkl) |
| --- | --- | --- |
| 28.0 | 119 | 1 0 1 |
| 34.8 | 1000 | 1 0 2 |
| 36.2 | 483 | 1 1 0 |
| 47.7 | 81 | 0 0 4 |
| 51.5 | 67 | 1 1 3 |
| 52.2 | 171 | 2 0 0 |
| 61.3 | 153 | 1 1 4 |
| 64.2 | 339 | 2 1 2 |
| 73.4 | 91 | 2 0 4 |
| 76.9 | 55 | 2 2 0 |
| 87.2 | 76 | 3 0 2 |
| 88.1 | 80 | 3 1 0 |

Entry 5:
This entry pairs a crystal structure of DyHgS2 with its simulated powder X-ray diffraction pattern. Radiation: copper Kα. Structure: a structure optimized by DFT (PBE).

Structural model:
Cell lengths 4.0301, 4.0301, 21.0588 Å; angles 90.00, 90.00, 120.00 degrees
Space group R3m (No. 160, hexagonal axes)
Unique sites:
Dy 0.0000 0.0000 0.0000 [3 per cell]
Hg 0.0000 0.0000 0.8338 [3 per cell]
S 0.0000 0.0000 0.4047 [3 per cell]
S 0.0000 0.0000 0.5991 [3 per cell]

The 12 most intense peaks (2θ from 10° to 90°), by angle:
| 2theta | I (rel.) | (hkl) |
| --- | --- | --- |
| 25.4 | 436 | 0 0 6 |
| 25.9 | 994 | 1 0 1 |
| 26.9 | 470 | 0 1 2 |
| 30.7 | 261 | 1 0 4 |
| 33.3 | 1000 | 0 1 5 |
| 39.5 | 523 | 1 0 7 |
| 45.0 | 575 | 1 1 0 |
| 52.4 | 392 | 1 1 6 |
| 52.6 | 152 | 0 2 1 |
| 57.1 | 212 | 2 0 5 |
| 71.3 | 253 | 1 1 12 |
| 75.5 | 188 | 1 2 5 |

Entry 6:
This entry pairs a crystal structure of Dy3HgSb with its simulated powder X-ray diffraction pattern. Radiation: copper Kα. Structure: a structure optimized by DFT (PBE).

Structural model:
Cell lengths 7.845, 15.315, 5.179 Å; angles 90.00, 90.00, 90.00 degrees
Space group Cmmm (No. 65)
Unique sites:
Dy 0.000 0.162 0.000 [4 per cell]
Dy 0.184 0.500 0.500 [4 per cell]
Dy 0.250 0.250 0.500 [4 per cell]
Hg 0.000 0.094 0.500 [4 per cell]
Sb 0.000 0.366 0.000 [4 per cell]

The 12 most intense peaks (2θ from 10° to 90°), by angle:
| 2theta | I (rel.) | (hkl) |
| --- | --- | --- |
| 12.7 | 245 | 1 1 0 |
| 17.1 | 343 | 0 0 1 |
| 20.7 | 421 | 1 3 0 |
| 28.5 | 448 | 2 0 1 |
| 29.0 | 545 | 0 4 1 |
| 30.9 | 275 | 2 2 1 |
| 32.7 | 1000 | 2 4 0 |
| 34.6 | 710 | 0 0 2 |
| 35.9 | 573 | 1 5 1 |
| 39.0 | 318 | 3 1 1 |
| 48.4 | 672 | 2 4 2 |
| 62.3 | 254 | 4 6 1 |

Entry 7:
This entry pairs a crystal structure of Dy2ScHg with its simulated powder X-ray diffraction pattern. Radiation: copper Kα. Structure: a structure optimized by DFT (PBE).

Structural model:
Cell lengths 5.302, 5.302, 3.762 Å; angles 90.00, 90.00, 90.00 degrees
Space group P4/mmm (No. 123)
Unique sites:
Dy 0.000 0.500 0.000 [2 per cell]
Sc 0.000 0.000 0.500 [1 per cell]
Hg 0.500 0.500 0.500 [1 per cell]

The 12 most intense peaks (2θ from 10° to 90°), by angle:
| 2theta | I (rel.) | (hkl) |
| --- | --- | --- |
| 16.7 | 129 | 1 0 0 |
| 29.1 | 73 | 1 0 1 |
| 33.8 | 1000 | 2 0 0 |
| 45.2 | 47 | 2 1 1 |
| 48.4 | 61 | 0 0 2 |
| 48.6 | 120 | 2 2 0 |
| 60.3 | 126 | 2 0 2 |
| 60.4 | 250 | 3 1 1 |
| 71.0 | 78 | 2 2 2 |
| 71.1 | 39 | 4 0 0 |
| 80.8 | 55 | 1 1 3 |
| 81.1 | 109 | 4 2 0 |

Entry 8:
This entry pairs a crystal structure of Dy3ScHg7 with its simulated powder X-ray diffraction pattern. Radiation: copper Kα. Structure: a structure optimized by DFT (PBE).

Structural model:
Cell lengths 3.622, 32.604, 11.216 Å; angles 90.00, 90.00, 90.00 degrees
Space group Cmcm (No. 63)
Unique sites:
Dy 0.000 0.062 0.076 [8 per cell]
Dy 0.000 0.178 0.750 [4 per cell]
Sc 0.000 0.076 0.750 [4 per cell]
Hg 0.000 0.275 0.074 [8 per cell]
Hg 0.000 0.377 0.075 [8 per cell]
Hg 0.000 0.388 0.750 [4 per cell]
Hg 0.000 0.482 0.120 [8 per cell]

The 12 most intense peaks (2θ from 10° to 90°), by angle:
| 2theta | I (rel.) | (hkl) |
| --- | --- | --- |
| 13.4 | 341 | 0 4 1 |
| 24.7 | 224 | 1 1 0 |
| 29.3 | 230 | 1 5 1 |
| 34.6 | 1000 | 1 1 3 |
| 35.0 | 954 | 1 9 0 |
| 35.5 | 196 | 1 3 3 |
| 36.6 | 911 | 0 10 3 |
| 48.7 | 183 | 0 0 6 |
| 50.4 | 300 | 2 0 0 |
| 61.4 | 286 | 1 9 6 |
| 63.9 | 365 | 2 10 3 |
| 65.1 | 312 | 1 19 3 |

Entry 9:
This entry pairs a crystal structure of DySc2Hg4 with its simulated powder X-ray diffraction pattern. Radiation: copper Kα. Structure: a structure optimized by DFT (PBE).

Structural model:
Cell lengths 7.185, 7.185, 6.881 Å; angles 90.00, 90.00, 90.00 degrees
Space group I4/mmm (No. 139)
Unique sites:
Dy 0.000 0.000 0.000 [2 per cell]
Sc 0.000 0.500 0.000 [4 per cell]
Hg 0.250 0.250 0.250 [8 per cell]

The 12 most intense peaks (2θ from 10° to 90°), by angle:
| 2theta | I (rel.) | (hkl) |
| --- | --- | --- |
| 17.8 | 133 | 1 0 1 |
| 24.8 | 352 | 2 0 0 |
| 25.9 | 159 | 0 0 2 |
| 35.3 | 532 | 2 2 0 |
| 36.2 | 1000 | 2 0 2 |
| 44.3 | 161 | 2 2 2 |
| 50.8 | 190 | 4 0 0 |
| 64.0 | 383 | 4 2 2 |
| 65.5 | 178 | 2 2 4 |
| 76.7 | 115 | 4 0 4 |
| 85.5 | 89 | 6 2 0 |
| 86.0 | 88 | 6 0 2 |

Entry 10:
This entry pairs a crystal structure of DySc2Hg3 with its simulated powder X-ray diffraction pattern. Radiation: copper Kα. Structure: a structure optimized by DFT (PBE).

Structural model:
Cell lengths 5.040, 15.178, 7.255 Å; angles 90.00, 90.00, 90.00 degrees
Space group Cmmm (No. 65)
Unique sites:
Dy 0.000 0.164 0.000 [4 per cell]
Sc 0.000 0.170 0.500 [4 per cell]
Sc 0.000 0.500 0.000 [2 per cell]
Sc 0.000 0.500 0.500 [2 per cell]
Hg 0.000 0.000 0.267 [4 per cell]
Hg 0.000 0.337 0.264 [8 per cell]

The 12 most intense peaks (2θ from 10° to 90°), by angle:
| 2theta | I (rel.) | (hkl) |
| --- | --- | --- |
| 24.5 | 100 | 0 0 2 |
| 24.9 | 204 | 1 3 0 |
| 35.3 | 1000 | 1 3 2 |
| 35.5 | 250 | 0 6 0 |
| 35.6 | 250 | 2 0 0 |
| 50.3 | 86 | 0 0 4 |
| 51.2 | 177 | 2 6 0 |
| 63.1 | 171 | 2 0 4 |
| 63.6 | 177 | 1 9 2 |
| 63.8 | 180 | 3 3 2 |
| 74.6 | 105 | 2 6 4 |
| 86.0 | 121 | 2 12 0 |

Entry 11:
This entry pairs a crystal structure of DyTmScHg with its simulated powder X-ray diffraction pattern. Radiation: copper Kα. Structure: a structure optimized by DFT (PBE).

Structural model:
Cell lengths 7.467, 7.467, 7.467 Å; angles 90.00, 90.00, 90.00 degrees
Space group F-43m (No. 216)
Unique sites:
Dy 0.000 0.000 0.000 [4 per cell]
Tm 0.000 0.000 0.500 [4 per cell]
Sc 0.250 0.250 0.750 [4 per cell]
Hg 0.250 0.250 0.250 [4 per cell]

The 12 most intense peaks (2θ from 10° to 90°), by angle:
| 2theta | I (rel.) | (hkl) |
| --- | --- | --- |
| 20.6 | 161 | 1 1 1 |
| 23.8 | 26 | 2 0 0 |
| 34.0 | 1000 | 2 2 0 |
| 40.0 | 96 | 3 1 1 |
| 48.8 | 181 | 4 0 0 |
| 53.5 | 43 | 3 3 1 |
| 60.8 | 375 | 4 2 2 |
| 64.9 | 33 | 5 1 1 |
| 71.5 | 116 | 4 4 0 |
| 75.3 | 33 | 5 3 1 |
| 81.5 | 164 | 6 2 0 |
| 85.2 | 13 | 5 3 3 |

Entry 12:
This entry pairs a crystal structure of DyHgSe2 with its simulated powder X-ray diffraction pattern. Radiation: copper Kα. Structure: a structure optimized by DFT (PBE).

Structural model:
Cell lengths 4.1769, 4.1769, 21.9584 Å; angles 90.00, 90.00, 120.00 degrees
Space group R3m (No. 160, hexagonal axes)
Unique sites:
Dy 0.0000 0.0000 0.0000 [3 per cell]
Hg 0.0000 0.0000 0.8342 [3 per cell]
Se 0.0000 0.0000 0.4064 [3 per cell]
Se 0.0000 0.0000 0.5969 [3 per cell]

The 12 most intense peaks (2θ from 10° to 90°), by angle:
| 2theta | I (rel.) | (hkl) |
| --- | --- | --- |
| 24.3 | 149 | 0 0 6 |
| 24.9 | 426 | 1 0 1 |
| 25.9 | 372 | 0 1 2 |
| 29.6 | 188 | 1 0 4 |
| 32.1 | 1000 | 0 1 5 |
| 38.0 | 456 | 1 0 7 |
| 43.3 | 578 | 1 1 0 |
| 50.3 | 135 | 1 1 6 |
| 54.9 | 218 | 2 0 5 |
| 58.9 | 127 | 0 2 7 |
| 68.1 | 238 | 1 1 12 |
| 72.4 | 192 | 1 2 5 |

Entry 13:
This entry pairs a crystal structure of DySn2HgSe4 with its simulated powder X-ray diffraction pattern. Radiation: copper Kα. Structure: a structure optimized by DFT (PBE).

Structural model:
Cell lengths 7.357, 4.187, 7.522 Å; angles 90.00, 109.60, 90.00 degrees
Space group P2/m (No. 10)
Unique sites:
Dy 0.000 0.000 0.000 [1 per cell]
Sn 0.500 0.000 0.500 [1 per cell]
Sn 0.500 0.500 0.000 [1 per cell]
Hg 0.000 0.500 0.500 [1 per cell]
Se 0.243 0.500 0.229 [2 per cell]
Se 0.247 0.000 0.765 [2 per cell]

The 12 most intense peaks (2θ from 10° to 90°), by angle:
| 2theta | I (rel.) | (hkl) |
| --- | --- | --- |
| 25.8 | 134 | 1 1 -1 |
| 29.4 | 515 | 2 0 -2 |
| 29.8 | 1000 | 1 1 1 |
| 42.0 | 384 | 1 1 -3 |
| 42.2 | 193 | 2 0 2 |
| 42.7 | 378 | 3 1 -1 |
| 43.2 | 184 | 0 2 0 |
| 51.6 | 102 | 0 0 4 |
| 52.8 | 102 | 4 0 0 |
| 53.1 | 198 | 2 2 -2 |
| 62.0 | 127 | 2 2 2 |
| 69.5 | 171 | 3 1 3 |

Entry 14:
This entry pairs a crystal structure of SmDy6Hg with its simulated powder X-ray diffraction pattern. Radiation: copper Kα. Structure: a structure optimized by DFT (PBE).

Structural model:
Cell lengths 9.2851, 9.2851, 9.9476 Å; angles 90.00, 90.00, 120.00 degrees
Space group R-3 (No. 148, hexagonal axes)
Unique sites:
Sm 0.0000 0.0000 0.0000 [3 per cell]
Dy 0.0270 0.7729 0.7128 [18 per cell]
Hg 0.0000 0.0000 0.5000 [3 per cell]

The 12 most intense peaks (2θ from 10° to 90°), by angle:
| 2theta | I (rel.) | (hkl) |
| --- | --- | --- |
| 26.9 | 164 | 0 0 3 |
| 28.5 | 383 | 2 0 2 |
| 30.8 | 934 | 3 -1 1 |
| 33.2 | 440 | 2 -1 3 |
| 33.4 | 233 | 3 0 0 |
| 34.6 | 1000 | 1 2 2 |
| 37.9 | 222 | 1 0 4 |
| 47.2 | 180 | 3 -1 4 |
| 50.3 | 138 | 5 -2 1 |
| 52.1 | 316 | 4 1 0 |
| 59.1 | 284 | 1 1 6 |
| 64.1 | 159 | 6 -2 2 |